# 1
# Ca4Mn2Al2O11
Calculated PXRD pattern, Cu Kα X-rays. Input: a GGA+U-relaxed structure.
Neutral-atom scattering factors, no anomalous dispersion.

Main lines, in order of rising 2θ (2θ = 15–90°):
two_theta, Rel. int.
16.78, 17
33.46, 100
33.93, 38
41.48, 21
47.34, 25
48.74, 50
60.41, 33
70.30, 25

Structural model:
Unit cell a=5.2842 b=5.2842 c=7.6814 alpha=90.00 beta=90.00 gamma=90.00
Space group P4/mmm (No. 123)
Unique sites:
1 Ca 0.0000 0.5000 0.0000 x2
2 Ca 0.0000 0.5000 0.5000 x2
3 Mn 0.0000 0.0000 0.2409 x2
4 Al 0.5000 0.5000 0.2728 x2
5 O 0.0000 0.0000 0.0000 x1
6 O 0.0000 0.0000 0.5000 x1
7 O 0.2572 0.2572 0.2301 x8
8 O 0.5000 0.5000 0.5000 x1


# 2
# Ca2MnAlO5
Calculated PXRD pattern, Cu Kα X-rays. Input: a GGA+U-relaxed structure.
Neutral-atom scattering factors, no anomalous dispersion.

Main lines, in order of rising 2θ (2θ = 15–90°):
two_theta, Rel. int.
31.87, 22
33.46, 100
43.40, 21
46.90, 30
49.11, 14
57.79, 14
59.84, 16
70.25, 10

Structural model:
Unit cell a=14.8407 b=5.6168 c=5.3509 alpha=90.00 beta=90.00 gamma=90.00
Space group Ima2 (No. 46)
Unique sites:
1 Ca 0.1117 0.0300 0.0000 x8
2 Mn 0.0000 0.0000 0.4885 x4
3 Al 0.2500 0.5732 0.0267 x4
4 O 0.0146 0.7462 0.2404 x8
5 O 0.1486 0.0732 0.4554 x8
6 O 0.2500 0.6454 0.3592 x4


# 3
# Ca2MnAlO5
Calculated PXRD pattern, Cu Kα X-rays. Input: a GGA+U-relaxed structure.
Neutral-atom scattering factors, no anomalous dispersion.

Main lines, in order of rising 2θ (2θ = 15–90°):
two_theta, Rel. int.
32.94, 31
33.05, 32
33.21, 100
47.35, 39
48.00, 26
59.00, 21
59.48, 18
69.72, 19

Structural model:
Unit cell a=7.6712 b=7.5813 c=7.6865 alpha=90.00 beta=90.18 gamma=90.00
Space group Pm (No. 6)
Unique sites:
1 Ca 0.0000 0.2300 0.0000 x2
2 Ca 0.4882 0.2330 0.5284 x2
3 Ca 0.5178 0.2329 0.0695 x2
4 Ca 0.9724 0.2445 0.5356 x2
5 Mn 0.2332 0.5000 0.7843 x1
6 Mn 0.2576 0.0000 0.2847 x1
7 Mn 0.7005 0.5000 0.7791 x1
8 Mn 0.7524 0.0000 0.2952 x1
9 Al 0.2050 0.5000 0.2479 x1
10 Al 0.2188 0.0000 0.7752 x1
11 Al 0.7520 0.0000 0.7840 x1
12 Al 0.7782 0.5000 0.2677 x1
13 O 0.0082 0.0000 0.2907 x1
14 O 0.1427 0.5000 0.0263 x1
15 O 0.2205 0.2508 0.7697 x2
16 O 0.2677 0.0000 0.0122 x1
17 O 0.2878 0.0000 0.5485 x1
18 O 0.3048 0.2975 0.2900 x2
19 O 0.4646 0.5000 0.6781 x1
20 O 0.5036 0.0000 0.2708 x1
21 O 0.6837 0.2339 0.7903 x2
22 O 0.7039 0.5000 0.0496 x1
23 O 0.7165 0.2898 0.3385 x2
24 O 0.7378 0.0000 0.5433 x1
25 O 0.7521 0.0000 0.0381 x1
26 O 0.9421 0.5000 0.7162 x1
27 O 0.9842 0.0000 0.7792 x1
28 O 0.9982 0.5000 0.3473 x1


# 4
# Ca8Mn6Al2O23
Calculated PXRD pattern, Cu Kα X-rays. Input: a GGA+U-relaxed structure.
Neutral-atom scattering factors, no anomalous dispersion.

Main lines, in order of rising 2θ (2θ = 15–90°):
two_theta, Rel. int.
33.23, 100
33.67, 43
41.18, 14
47.04, 26
48.35, 50
59.08, 16
59.93, 33
69.75, 26

Structural model:
Unit cell a=7.5299 b=7.5299 c=7.7275 alpha=90.00 beta=90.00 gamma=90.00
Space group P4/mmm (No. 123)
Unique sites:
1 Ca 0.2412 0.2412 0.0000 x4
2 Ca 0.2446 0.2446 0.5000 x4
3 Mn 0.0000 0.0000 0.2506 x2
4 Mn 0.0000 0.5000 0.2452 x4
5 Al 0.5000 0.5000 0.2742 x2
6 O 0.0000 0.0000 0.0000 x1
7 O 0.0000 0.0000 0.5000 x1
8 O 0.0000 0.2500 0.2513 x8
9 O 0.0000 0.5000 0.0000 x2
10 O 0.0000 0.5000 0.5000 x2
11 O 0.2581 0.5000 0.2291 x8
12 O 0.5000 0.5000 0.5000 x1


# 5
# Ca4Mn3AlO10
Calculated PXRD pattern, Cu Kα X-rays. Input: a GGA+U-relaxed structure.
Neutral-atom scattering factors, no anomalous dispersion.

Main lines, in order of rising 2θ (2θ = 15–90°):
two_theta, Rel. int.
32.01, 67
32.73, 100
33.20, 75
33.46, 96
45.68, 37
47.87, 33
48.21, 48
58.51, 36

Structural model:
Unit cell a=7.6050 b=7.5502 c=7.9492 alpha=90.00 beta=92.04 gamma=90.00
Space group Pm (No. 6)
Unique sites:
1 Ca 0.0000 0.2306 0.0000 x2
2 Ca 0.4617 0.2352 0.0348 x2
3 Ca 0.4762 0.2339 0.4870 x2
4 Ca 0.9571 0.2422 0.5510 x2
5 Mn 0.2094 0.0000 0.2552 x1
6 Mn 0.2266 0.0000 0.7562 x1
7 Mn 0.2682 0.5000 0.7476 x1
8 Mn 0.7127 0.0000 0.2533 x1
9 Mn 0.7175 0.0000 0.7548 x1
10 Mn 0.7341 0.5000 0.8082 x1
11 Al 0.1869 0.5000 0.3083 x1
12 Al 0.7752 0.5000 0.2446 x1
13 O 0.2009 0.0000 0.5086 x1
14 O 0.2206 0.2987 0.2013 x2
15 O 0.2465 0.0000 0.9979 x1
16 O 0.2749 0.2465 0.7576 x2
17 O 0.3291 0.5000 0.4926 x1
18 O 0.4595 0.0000 0.2815 x1
19 O 0.4956 0.5000 0.8910 x1
20 O 0.6647 0.0000 0.9901 x1
21 O 0.6651 0.2978 0.2753 x2
22 O 0.7048 0.2575 0.7240 x2
23 O 0.7329 0.0000 0.5099 x1
24 O 0.8600 0.5000 0.0420 x1
25 O 0.9591 0.0000 0.2088 x1
26 O 0.9671 0.5000 0.3833 x1
27 O 0.9746 0.0000 0.7806 x1
28 O 0.9931 0.5000 0.7392 x1